This entry pairs a crystal structure of Sm4Dy2Ho3 with its calculated powder diffractogram. Radiation: Cu Kα (weighted mean of Kα1 and Kα2). Structure: a crystal structure in Alexandria, relaxed with GGA-PBE.
Intensities are scaled so that the largest is 100.

a b c (Å): 3.5989 3.5989 26.4078
angles (deg): 90.00 90.00 120.00
Space group P3m1 (No. 156)
Symmetry-distinct sites (fractional):
Sm 0.0000 0.0000 0.0000 [1 per cell]
Sm 0.0000 0.0000 0.2164 [1 per cell]
Sm 0.3333 0.6667 0.3290 [1 per cell]
Sm 0.3333 0.6667 0.5473 [1 per cell]
Dy 0.0000 0.0000 0.6569 [1 per cell]
Dy 0.0000 0.0000 0.8680 [1 per cell]
Ho 0.0000 0.0000 0.4380 [1 per cell]
Ho 0.3333 0.6667 0.1063 [1 per cell]
Ho 0.3333 0.6667 0.7636 [1 per cell]

Peak list (8 most intense, 2θ = 10–80°, by angle)
- 28.64 deg, I = 46.3, (1 0 0)
- 30.46 deg, I = 55.3, (0 0 9)
- 31.75 deg, I = 60.8, (1 0 4)
- 33.38 deg, I = 100.0, (0 1 5)
- 42.30 deg, I = 28.7, (0 1 9)
- 50.74 deg, I = 38.1, (1 1 0)
- 57.07 deg, I = 30.9, (1 0 14)
- 60.34 deg, I = 43.4, (1 1 9)